1.
Structure and computed PXRD pattern of Cd2Hg13 (a cell relaxed with PBE; λ = 1.5418 Å (Cu Kα)).

Main lines, by angle (10° ≤ 2θ ≤ 90°):
Position (°2θ)	d_spacing	I_rel
27.40	3.255	24.0
31.59	2.832	100.0
32.60	2.747	25.2
32.95	2.719	44.3
34.28	2.616	42.7
41.30	2.186	16.0
44.14	2.052	16.3
45.46	1.995	50.7
61.40	1.510	18.0
63.04	1.475	31.9

Crystal structure
```
Cd2Hg13
1.0
4.372 2.524 6.510
-4.372 2.524 6.510
0.000 -5.049 6.510
Cd Hg
2 13
direct
0.148 0.148 0.148
0.852 0.852 0.852
0.000 0.000 0.000
0.142 0.142 0.522
0.142 0.522 0.142
0.307 0.307 0.680
0.307 0.680 0.307
0.320 0.693 0.693
0.478 0.858 0.858
0.522 0.142 0.142
0.680 0.307 0.307
0.693 0.320 0.693
0.693 0.693 0.320
0.858 0.478 0.858
0.858 0.858 0.478
```



2.
Structure and computed PXRD pattern of HoCd12Hg6 (a cell relaxed with PBE; λ = 1.5418 Å (Cu Kα)).

Main lines, by angle (10° ≤ 2θ ≤ 90°):
Position (°2θ)	d_spacing	I_rel
23.40	3.801	18.9
34.22	2.620	87.9
34.68	2.587	41.6
36.43	2.467	100.0
37.62	2.391	25.0
46.87	1.938	13.1
54.60	1.681	15.5
58.97	1.566	13.0
62.71	1.482	18.4
63.84	1.458	19.2

Crystal structure
```
HoCd12Hg6
1.0
6.265 3.617 3.375
-6.265 3.617 3.375
0.000 -7.234 3.375
Ho Cd Hg
1 12 6
direct
0.000 0.000 0.000
0.002 0.265 0.736
0.191 0.585 0.588
0.264 0.998 0.735
0.265 0.736 0.002
0.412 0.809 0.415
0.415 0.412 0.809
0.585 0.588 0.191
0.588 0.191 0.585
0.735 0.264 0.998
0.736 0.002 0.265
0.809 0.415 0.412
0.998 0.735 0.264
0.162 0.419 0.165
0.165 0.162 0.419
0.419 0.165 0.162
0.581 0.835 0.838
0.835 0.838 0.581
0.838 0.581 0.835
```



3.
Structure and computed PXRD pattern of Ho2Cd2Hg3 (a cell relaxed with PBE; λ = 1.5418 Å (Cu Kα)).

Main lines, by angle (10° ≤ 2θ ≤ 90°):
Position (°2θ)	d_spacing	I_rel
10.66	8.302	14.7
27.31	3.265	22.6
35.53	2.526	93.8
35.98	2.496	100.0
51.47	1.776	32.8
63.52	1.465	12.9
64.37	1.447	22.3
64.44	1.446	11.1
64.68	1.441	18.2
76.30	1.248	11.4

Crystal structure
```
Ho2Cd2Hg3
1.0
4.323 -2.496 0.000
4.323 2.496 0.000
-2.864 0.000 8.302
Ho Cd Hg
2 2 3
direct
0.115 0.115 0.345
0.885 0.885 0.655
0.368 0.368 0.103
0.632 0.632 0.897
0.251 0.251 0.754
0.500 0.500 0.500
0.749 0.749 0.246
```